[1]
AgRu2N3: theoretical powder diffractogram (λ = 1.5418 Å (Cu Kα)), based on the PBE geometry in the Materials Project.
Intensities are scaled so that the largest is 100.

The 12 most intense peaks (10° ≤ 2θ ≤ 90°), most intense first:
(hkl)	d (Å)	Rel. int.
1 0 2	2.743	100.0
0 1 7	2.276	64.2
0 0 9	3.037	42.1
1 0 5	2.492	30.1
1 1 0	1.616	26.7
1 0 14	1.601	23.0
1 1 9	1.427	22.9
0 1 16	1.458	17.9
2 0 7	1.318	15.0
0 1 4	2.591	12.8
1 0 11	1.858	10.8
0 2 2	1.393	10.5

Crystal structure
```
data_AgRu2N3
_symmetry_space_group_name_H-M 'P 31 2 1'
_symmetry_Int_Tables_number 152
_cell_length_a 3.2329
_cell_length_b 3.2329
_cell_length_c 27.3318
_cell_angle_alpha 90.00
_cell_angle_beta 90.00
_cell_angle_gamma 120.00
loop_
_symmetry_equiv_pos_as_xyz
'x,y,z'
'-y,x-y,z+1/3'
'-x+y,-x,z+2/3'
'y,x,-z'
'x-y,-y,-z+2/3'
'-x,-x+y,-z+1/3'
loop_
_atom_site_label
_atom_site_fract_x
_atom_site_fract_y
_atom_site_fract_z
Ag1 0.0000 0.6258 0.1667
Ru1 0.0390 0.7112 0.6019
N1 0.0000 0.8005 0.6667
N2 0.0070 0.6328 0.2446
```

[2]
AgWS4N: theoretical powder diffractogram (λ = 1.5418 Å (Cu Kα)), based on the PBE geometry in the Materials Project.
Intensities are scaled so that the largest is 100.

The 12 most intense peaks (10° ≤ 2θ ≤ 90°), most intense first:
(hkl)	d (Å)	Rel. int.
1 1 0	5.719	100.0
2 0 0	4.044	30.7
3 1 2	1.933	30.7
1 1 2	2.623	23.2
2 0 2	2.384	23.1
2 2 0	2.859	16.6
1 3 0	2.557	15.3
1 2 1	3.084	13.4
2 4 0	1.808	12.5
2 2 2	2.054	12.3
1 0 1	4.768	9.9
4 0 2	1.668	8.0

Crystal structure
```
data_AgWS4N
_symmetry_space_group_name_H-M 'I -4'
_symmetry_Int_Tables_number 82
_cell_length_a 8.0874
_cell_length_b 8.0874
_cell_length_c 5.9033
_cell_angle_alpha 90.00
_cell_angle_beta 90.00
_cell_angle_gamma 90.00
loop_
_symmetry_equiv_pos_as_xyz
'x,y,z'
'y,-x,-z'
'-x,-y,z'
'-y,x,-z'
'x+1/2,y+1/2,z+1/2'
'y+1/2,-x+1/2,-z+1/2'
'-x+1/2,-y+1/2,z+1/2'
'-y+1/2,x+1/2,-z+1/2'
loop_
_atom_site_label
_atom_site_fract_x
_atom_site_fract_y
_atom_site_fract_z
Ag1 0.0000 0.0000 0.0000
W1 0.0000 0.0000 0.5000
S1 0.1177 0.1947 0.7112
N1 0.0000 0.5000 0.2500
```

[3]
AgSnN: theoretical powder diffractogram (λ = 1.5418 Å (Cu Kα)), based on the PBE geometry in the Materials Project.
Intensities are scaled so that the largest is 100.

The 12 most intense peaks (10° ≤ 2θ ≤ 90°), most intense first:
(hkl)	d (Å)	Rel. int.
1 0 2	2.529	100.0
1 0 1	2.768	38.8
0 0 4	2.691	29.0
1 1 0	1.654	27.9
1 0 3	2.239	27.6
1 1 4	1.409	23.7
1 0 4	1.961	17.2
1 0 6	1.520	16.6
2 0 2	1.384	15.6
1 0 0	2.865	8.0
1 0 5	1.721	7.9
1 0 8	1.218	7.3

Crystal structure
```
data_AgSnN
_symmetry_space_group_name_H-M 'P 63 m c'
_symmetry_Int_Tables_number 186
_symmetry_space_group_name_Hall 'P 6c -2c'
_cell_length_a 3.3077
_cell_length_b 3.3077
_cell_length_c 10.7625
_cell_angle_alpha 90.00
_cell_angle_beta 90.00
_cell_angle_gamma 120.00
loop_
_atom_site_label
_atom_site_fract_x
_atom_site_fract_y
_atom_site_fract_z
Ag1 0.3333 0.6667 0.0000
Sn1 0.0000 0.0000 0.2150
N1 0.3333 0.6667 0.3099
```